Computed X-ray powder pattern of K2Cu2Br5 for λ = 1.5418 Å (Cu Kα), from a DFT-relaxed cell (GGA-PBE, Alexandria).

Cell and atoms:
```
9
Lattice="10.596 0.000 0.000 0.000 3.547 3.548 0.000 -3.547 3.548" Properties=species:S:1:pos:R:3 pbc="T T T"
K 0.000 0.000 0.000
K 5.298 0.000 0.004
Cu 2.602 0.000 3.561
Cu 7.995 0.000 3.561
Br 0.000 0.000 3.550
Br 3.034 -1.772 1.782
Br 3.034 1.772 1.782
Br 7.562 -1.772 1.782
Br 7.562 1.772 1.782
```

Principal peaks in the range 2θ = 10–90°, by intensity:
2θ (°)	d_spacing	I/Imax
35.80	2.508	100
30.32	2.948	74
50.10	1.821	70
16.73	5.298	55
33.84	2.649	34
51.52	1.774	31
26.50	3.364	27
39.76	2.267	25
17.68	5.017	25
24.44	3.643	25
25.21	3.532	23
63.08	1.474	20